[1]
Diffraction record for KNaV6Pb8O24. The XRD peak list is theoretical, not measured: it uses a cell relaxed with GGA+U and Cu Kα.

Crystal structure
```
KNaV6Pb8O24
1.0
10.292 0.000 0.000
-5.146 8.913 0.000
0.000 0.000 7.491
K Na V Pb O
1 1 6 8 24
Cartesian
0.000 0.000 0.000
5.146 2.971 3.925
3.064 0.385 5.711
2.109 2.605 1.996
6.981 0.524 1.996
3.947 6.067 5.711
6.347 5.784 1.996
8.426 2.461 5.711
0.000 0.000 3.653
-1.344 3.673 1.973
-2.636 5.953 5.701
1.308 3.654 5.701
-1.293 8.240 1.973
2.637 5.912 1.973
1.327 8.219 5.701
5.146 2.971 7.399
-3.982 7.530 2.065
-0.909 2.929 4.339
-0.900 2.925 7.071
0.615 1.699 2.065
1.635 1.421 5.684
-2.162 8.229 7.071
-2.155 8.236 4.339
2.162 3.634 0.601
2.189 3.692 3.342
3.540 1.565 1.977
4.555 1.306 5.734
6.000 0.050 3.342
6.063 0.055 0.601
3.999 4.315 5.734
3.064 6.661 4.339
3.062 6.671 7.071
4.731 5.064 1.977
3.367 8.596 2.065
7.166 2.283 1.977
8.244 0.706 5.684
6.883 3.292 5.734
5.558 6.786 5.684
7.249 5.171 3.342
7.212 5.223 0.601
```

Peak list (10 most intense, 10 to 90 degrees two-theta, by intensity)
29.06°, rel. 1000
29.50°, rel. 538
30.08°, rel. 379
20.94°, rel. 373
45.20°, rel. 333
46.01°, rel. 310
47.48°, rel. 295
58.29°, rel. 244
26.46°, rel. 243
15.45°, rel. 216

=====

[2]
Diffraction record for MgV3CoO8. The XRD peak list is theoretical, not measured: it uses a cell relaxed with GGA+U and Cu Kα.

Crystal structure
```
MgV3CoO8
1.0
6.097 -1.927 0.000
6.097 1.927 0.000
-1.903 0.000 6.501
Mg V Co O
1 3 1 8
Cartesian
0.000 0.000 0.000
3.529 0.000 4.419
5.613 0.000 2.095
7.228 0.000 4.756
9.200 0.000 1.883
1.536 0.000 4.534
3.572 0.000 2.482
5.835 0.000 0.021
5.409 0.000 4.155
7.321 0.000 2.519
7.010 0.000 6.446
9.373 0.000 4.641
11.366 0.000 1.797
```

Peak list (10 most intense, 10 to 90 degrees two-theta, by intensity)
24.31°, rel. 1000
29.76°, rel. 700
47.15°, rel. 647
27.43°, rel. 630
41.68°, rel. 520
29.02°, rel. 425
64.75°, rel. 394
15.14°, rel. 387
13.62°, rel. 355
44.59°, rel. 301